Diffraction record for Cu6GeSb. The X-ray powder pattern is calculated, not measured: it uses a crystal structure in Alexandria, relaxed with PBE and copper Kα.
Intensities are scaled so that the largest is 100.

Unit cell a=4.2801 b=4.2801 c=7.5739 alpha=90.00 beta=90.00 gamma=120.00
Space group P-6m2 (No. 187)
One atom of each set of equivalent atoms:
Cu: 0.0000 0.0000 0.0000 x1
Cu: 0.0000 0.0000 0.5000 x1
Cu: 0.3333 0.6667 0.1775 x2
Cu: 0.6667 0.3333 0.3414 x2
Ge: 0.3333 0.6667 0.5000 x1
Sb: 0.6667 0.3333 0.0000 x1

The 12 most intense peaks (2θ = 10–90°), low angle first:
(0 0 2), 2θ 23.49, I 15.9
(1 0 0), 2θ 24.01, I 13.5
(1 0 1), 2θ 26.78, I 5.3
(1 0 2), 2θ 33.84, I 16.6
(1 1 0), 2θ 42.23, I 100.0
(1 0 3), 2θ 43.36, I 81.7
(1 1 2), 2θ 48.88, I 13.0
(2 0 3), 2θ 62.13, I 26.5
(1 1 4), 2θ 65.86, I 6.0
(0 0 6), 2θ 75.28, I 5.1
(3 0 0), 2θ 77.21, I 16.3
(2 1 3), 2θ 78.00, I 26.4